No. 1
Starting from a PBE-relaxed structure, the X-ray powder pattern of Tb2Al2Co15 was calculated for λ = 1.5418 Å (Cu Kα).
Intensities are scaled so that the largest is 100.

Structural model:
Unit cell a=6.3100 b=6.3100 c=6.3100 alpha=82.67 beta=82.67 gamma=82.67
Sites, in units of the cell vectors:
1 Tb 0.1476 0.1476 0.1476
2 Tb 0.8524 0.8524 0.8524
3 Al 0.3942 0.3942 0.3942
4 Al 0.6058 0.6058 0.6058
5 Co 0.0000 0.5000 0.5000
6 Co 0.1495 0.1495 0.6487
7 Co 0.1495 0.6487 0.1495
8 Co 0.2133 0.5000 0.7867
9 Co 0.2133 0.7867 0.5000
10 Co 0.3513 0.8505 0.8505
11 Co 0.5000 0.0000 0.5000
12 Co 0.5000 0.2133 0.7867
13 Co 0.5000 0.5000 0.0000
14 Co 0.5000 0.7867 0.2133
15 Co 0.6487 0.1495 0.1495
16 Co 0.7867 0.2133 0.5000
17 Co 0.7867 0.5000 0.2133
18 Co 0.8505 0.3513 0.8505
19 Co 0.8505 0.8505 0.3513

Principal peaks in the range 2θ from 15° to 90°, low angle first:
| d (Å) | Position (°2θ) | intensity |
| --- | --- | --- |
| 2.916 | 30.7 | 40 |
| 2.663 | 33.7 | 19 |
| 2.406 | 37.4 | 31 |
| 2.334 | 38.6 | 38 |
| 2.084 | 43.4 | 57 |
| 2.073 | 43.7 | 100 |
| 2.039 | 44.4 | 52 |
| 1.856 | 49.1 | 21 |
| 1.457 | 63.9 | 27 |
| 1.203 | 79.7 | 23 |

***

No. 2
Starting from a PBE-relaxed structure, the X-ray powder pattern of TbAl8Co2 was calculated for λ = 1.5418 Å (Cu Kα).
Intensities are scaled so that the largest is 100.

Structural model:
Unit cell a=5.6100 b=5.6100 c=7.7231 alpha=90.00 beta=90.00 gamma=90.00
Sites, in units of the cell vectors:
1 Tb 0.0000 0.0000 0.0000
2 Al 0.2499 0.2499 0.3237
3 Al 0.2499 0.2499 0.6763
4 Al 0.2499 0.7501 0.3237
5 Al 0.2499 0.7501 0.6763
6 Al 0.7501 0.2499 0.3237
7 Al 0.7501 0.2499 0.6763
8 Al 0.7501 0.7501 0.3237
9 Al 0.7501 0.7501 0.6763
10 Co 0.0000 0.5000 0.5000
11 Co 0.5000 0.0000 0.5000

Principal peaks in the range 2θ from 15° to 90°, low angle first:
| d (Å) | Position (°2θ) | intensity |
| --- | --- | --- |
| 5.610 | 15.8 | 46 |
| 4.539 | 19.6 | 57 |
| 3.529 | 25.2 | 100 |
| 3.181 | 28.1 | 24 |
| 2.386 | 37.7 | 22 |
| 2.269 | 39.7 | 63 |
| 2.159 | 41.8 | 26 |
| 1.983 | 45.7 | 31 |
| 1.729 | 53.0 | 25 |
| 1.193 | 80.5 | 15 |

***

No. 3
Starting from a PBE-relaxed structure, the X-ray powder pattern of TbAl2Co was calculated for λ = 1.5418 Å (Cu Kα).
Intensities are scaled so that the largest is 100.

Structural model:
Unit cell a=14.6560 b=7.0188 c=5.5146 alpha=90.00 beta=90.00 gamma=90.00
Sites, in units of the cell vectors:
1 Tb 0.1004 0.2500 0.2346
2 Tb 0.1343 0.7500 0.0333
3 Tb 0.3657 0.2500 0.5333
4 Tb 0.3996 0.7500 0.7346
5 Tb 0.6004 0.2500 0.2654
6 Tb 0.6343 0.7500 0.4667
7 Tb 0.8657 0.2500 0.9667
8 Tb 0.8996 0.7500 0.7654
9 Al 0.0453 0.0601 0.7169
10 Al 0.0453 0.4399 0.7169
11 Al 0.2116 0.5514 0.5439
12 Al 0.2116 0.9486 0.5439
13 Al 0.2884 0.0514 0.0439
14 Al 0.2884 0.4486 0.0439
15 Al 0.4547 0.5601 0.2169
16 Al 0.4547 0.9399 0.2169
17 Al 0.5453 0.0601 0.7831
18 Al 0.5453 0.4399 0.7831
19 Al 0.7116 0.5514 0.9561
20 Al 0.7116 0.9486 0.9561
21 Al 0.7884 0.0514 0.4561
22 Al 0.7884 0.4486 0.4561
23 Al 0.9547 0.5601 0.2831
24 Al 0.9547 0.9399 0.2831
25 Co 0.0724 0.7500 0.5096
26 Co 0.1911 0.2500 0.7761
27 Co 0.3089 0.7500 0.2761
28 Co 0.4276 0.2500 0.0096
29 Co 0.5724 0.7500 0.9904
30 Co 0.6911 0.2500 0.7239
31 Co 0.8089 0.7500 0.2239
32 Co 0.9276 0.2500 0.4904

Principal peaks in the range 2θ from 15° to 90°, low angle first:
| d (Å) | Position (°2θ) | intensity |
| --- | --- | --- |
| 4.406 | 20.2 | 12 |
| 3.661 | 24.3 | 34 |
| 3.509 | 25.4 | 45 |
| 2.745 | 32.6 | 20 |
| 2.534 | 35.4 | 52 |
| 2.423 | 37.1 | 100 |
| 2.303 | 39.1 | 14 |
| 2.233 | 40.4 | 12 |
| 2.129 | 42.5 | 15 |
| 1.733 | 52.8 | 22 |

***

Please write out number 2 again, unchanged.
Starting from a PBE-relaxed structure, the X-ray powder pattern of TbAl8Co2 was calculated for λ = 1.5418 Å (Cu Kα).
Intensities are scaled so that the largest is 100.

Structural model:
Unit cell a=5.6100 b=5.6100 c=7.7231 alpha=90.00 beta=90.00 gamma=90.00
Sites, in units of the cell vectors:
1 Tb 0.0000 0.0000 0.0000
2 Al 0.2499 0.2499 0.3237
3 Al 0.2499 0.2499 0.6763
4 Al 0.2499 0.7501 0.3237
5 Al 0.2499 0.7501 0.6763
6 Al 0.7501 0.2499 0.3237
7 Al 0.7501 0.2499 0.6763
8 Al 0.7501 0.7501 0.3237
9 Al 0.7501 0.7501 0.6763
10 Co 0.0000 0.5000 0.5000
11 Co 0.5000 0.0000 0.5000

Principal peaks in the range 2θ from 15° to 90°, low angle first:
| d (Å) | Position (°2θ) | intensity |
| --- | --- | --- |
| 5.610 | 15.8 | 46 |
| 4.539 | 19.6 | 57 |
| 3.529 | 25.2 | 100 |
| 3.181 | 28.1 | 24 |
| 2.386 | 37.7 | 22 |
| 2.269 | 39.7 | 63 |
| 2.159 | 41.8 | 26 |
| 1.983 | 45.7 | 31 |
| 1.729 | 53.0 | 25 |
| 1.193 | 80.5 | 15 |